Computed XRD peak list of Li8FeO5F for Cu Kα X-rays, from a structure optimized by DFT (PBE+U).
Intensities are scaled so that the largest is 1000.

Largest 12 diffraction maxima, in order of falling intensity, 2θ = 10–80°:
2θ (°), I (rel.), index
35.10, 1000, 1 1 0
37.72, 739, 1 -2 1
17.21, 721, 0 0 1
19.70, 691, 1 0 -1
21.12, 666, 1 0 0
18.91, 639, 0 1 0
20.03, 619, 1 -1 0
38.54, 559, -2 1 2
22.07, 553, 0 1 -1
22.69, 438, -1 1 1
49.12, 406, 1 -2 2
50.24, 371, -2 1 3

Cell and atoms:
```
data_Li8FeO5F
_chemical_formula_sum 'Li8 Fe1 O5 F1'
_cell_length_a 5.385
_cell_length_b 5.433
_cell_length_c 5.900
_cell_angle_alpha 91.08
_cell_angle_beta 115.27
_cell_angle_gamma 116.57
_symmetry_space_group_name_H-M 'P 1'
_symmetry_Int_Tables_number 1
loop_
_symmetry_equiv_pos_as_xyz
'x,y,z'
loop_
_atom_site_label
_atom_site_type_symbol
_atom_site_fract_x
_atom_site_fract_y
_atom_site_fract_z
Li1 Li 0.000 0.000 0.000
Li2 Li 0.022 0.157 0.625
Li3 Li 0.166 0.437 0.346
Li4 Li 0.395 0.876 0.635
Li5 Li 0.518 0.120 0.338
Li6 Li 0.562 0.315 0.946
Li7 Li 0.669 0.539 0.615
Li8 Li 0.849 0.737 0.325
Fe1 Fe 0.200 0.593 0.946
O1 O 0.096 0.864 0.737
O2 O 0.143 0.750 0.222
O3 O 0.389 0.538 0.733
O4 O 0.429 0.412 0.211
O5 O 0.778 0.244 0.742
F1 F 0.803 0.072 0.251
```